[1]
Diffraction record for Ba4GeI2. The powder XRD pattern is simulated, not measured: it uses a cell relaxed with GGA-PBE and copper Kα.

Peak list (10 most intense, 2θ from 10° to 90°, low angle first)
- 2θ 22.1, I 33
- 2θ 22.6, I 62
- 2θ 24.3, I 100
- 2θ 25.2, I 39
- 2θ 29.7, I 48
- 2θ 30.0, I 89
- 2θ 32.2, I 36
- 2θ 37.3, I 22
- 2θ 38.5, I 56
- 2θ 40.8, I 21

Atomic structure:
```
Ba4GeI2
1.0
11.1171 0.0000 0.0000
0.0000 11.1171 0.0000
0.0000 0.0000 11.6246
Ba Ge I
16 4 8
direct
0.0519 0.3095 0.2100
0.0519 0.6905 0.2900
0.2594 0.4440 0.5245
0.2594 0.5560 0.9755
0.3095 0.0519 0.5400
0.3095 0.9481 0.9600
0.4440 0.2594 0.2255
0.4440 0.7406 0.2745
0.5560 0.2594 0.7745
0.5560 0.7406 0.7255
0.6905 0.0519 0.4600
0.6905 0.9481 0.0400
0.7406 0.4440 0.4755
0.7406 0.5560 0.0245
0.9481 0.3095 0.7900
0.9481 0.6905 0.7100
0.2629 0.5000 0.2500
0.5000 0.2629 0.5000
0.5000 0.7371 0.0000
0.7371 0.5000 0.7500
0.0000 0.2069 0.5000
0.0000 0.7931 0.0000
0.2069 0.0000 0.2500
0.2510 0.2510 0.8750
0.2510 0.7490 0.6250
0.7490 0.2510 0.1250
0.7490 0.7490 0.3750
0.7931 0.0000 0.7500
```

[2]
Diffraction record for La2NdSm2Y6. The powder XRD pattern is simulated, not measured: it uses a cell relaxed with GGA-PBE and copper Kα.

Peak list (10 most intense, 2θ from 10° to 90°, low angle first)
- 2θ 24.4, I 10
- 2θ 25.0, I 9
- 2θ 31.2, I 19
- 2θ 31.4, I 32
- 2θ 31.5, I 100
- 2θ 32.4, I 15
- 2θ 33.1, I 11
- 2θ 44.6, I 10
- 2θ 45.7, I 12
- 2θ 56.0, I 19

Atomic structure:
```
La2NdSm2Y6
1.0
2.8466 -8.2971 0.0000
2.8466 8.2971 0.0000
0.0000 0.0000 8.1205
La Nd Sm Y
2 1 2 6
direct
0.1729 0.8271 0.0000
0.8271 0.1729 0.0000
0.5000 0.5000 0.0000
0.1889 0.8111 0.5000
0.8111 0.1889 0.5000
0.0000 0.0000 0.2846
0.0000 0.0000 0.7154
0.3664 0.6336 0.2868
0.3664 0.6336 0.7132
0.6336 0.3664 0.2868
0.6336 0.3664 0.7132
```

[3]
Diffraction record for La3PrIn2. The powder XRD pattern is simulated, not measured: it uses a cell relaxed with GGA-PBE and copper Kα.

Peak list (10 most intense, 2θ from 10° to 90°, low angle first)
- 2θ 27.0, I 19
- 2θ 28.5, I 22
- 2θ 30.5, I 100
- 2θ 30.7, I 62
- 2θ 30.9, I 25
- 2θ 31.9, I 75
- 2θ 33.2, I 34
- 2θ 33.5, I 62
- 2θ 36.4, I 24
- 2θ 50.3, I 20

Atomic structure:
```
La3PrIn2
1.0
5.3452 0.0000 0.0000
0.0000 10.5224 0.0000
0.0000 0.0000 6.9426
La Pr In
6 2 4
direct
0.0000 0.0522 0.0000
0.0000 0.3153 0.3858
0.0000 0.6847 0.8858
0.0000 0.9478 0.5000
0.5000 0.1792 0.7693
0.5000 0.8208 0.2693
0.5000 0.4552 0.1261
0.5000 0.5448 0.6261
0.0000 0.3694 0.8645
0.0000 0.6306 0.3645
0.5000 0.1380 0.2806
0.5000 0.8620 0.7806
```

[4]
Diffraction record for Pa2H3. The powder XRD pattern is simulated, not measured: it uses a cell relaxed with GGA-PBE and copper Kα.

Peak list (10 most intense, 2θ from 10° to 90°, low angle first)
- 2θ 27.1, I 39
- 2θ 31.1, I 21
- 2θ 34.1, I 100
- 2θ 41.8, I 20
- 2θ 52.5, I 30
- 2θ 55.4, I 18
- 2θ 62.7, I 23
- 2θ 66.6, I 15
- 2θ 79.8, I 9
- 2θ 82.7, I 11

Atomic structure:
```
Pa2H3
1.0
3.3182 0.0000 0.0000
-1.6591 2.8736 0.0000
0.0000 0.0000 6.5723
Pa H
2 3
direct
0.3333 0.6667 0.2616
0.6667 0.3333 0.7384
0.0000 0.0000 0.5000
0.3333 0.6667 0.9150
0.6667 0.3333 0.0850
```

[5]
Diffraction record for Tm4Ni2Ru. The powder XRD pattern is simulated, not measured: it uses a cell relaxed with GGA-PBE and copper Kα.

Peak list (10 most intense, 2θ from 10° to 90°, low angle first)
- 2θ 30.6, I 64
- 2θ 31.0, I 26
- 2θ 32.8, I 46
- 2θ 33.4, I 100
- 2θ 34.2, I 28
- 2θ 38.1, I 44
- 2θ 39.8, I 48
- 2θ 40.4, I 53
- 2θ 42.2, I 50
- 2θ 58.0, I 23

Atomic structure:
```
Tm4Ni2Ru
1.0
10.5213 0.0000 0.0000
0.0000 4.2798 0.0000
-4.8505 0.0000 6.6427
Tm Ni Ru
8 4 2
direct
0.0846 0.0000 0.3764
0.1880 0.5000 0.0877
0.3120 0.0000 0.9123
0.4154 0.5000 0.6236
0.5846 0.5000 0.3764
0.6880 0.0000 0.0877
0.8120 0.5000 0.9123
0.9154 0.0000 0.6236
0.1402 0.5000 0.6476
0.3598 0.0000 0.3524
0.6402 0.0000 0.6476
0.8598 0.5000 0.3524
0.0000 0.0000 0.0000
0.5000 0.5000 0.0000
```

[6]
Diffraction record for Ce2PrTh3Te6. The powder XRD pattern is simulated, not measured: it uses a cell relaxed with GGA-PBE and copper Kα.

Peak list (10 most intense, 2θ from 10° to 90°, low angle first)
- 2θ 28.2, I 100
- 2θ 39.6, I 27
- 2θ 40.0, I 13
- 2θ 40.5, I 13
- 2θ 40.9, I 24
- 2θ 48.6, I 8
- 2θ 50.1, I 14
- 2θ 58.3, I 9
- 2θ 65.1, I 13
- 2θ 66.9, I 12

Atomic structure:
```
Ce2PrTh3Te6
1.0
9.8654 -2.2255 0.0000
9.8654 2.2255 0.0000
-2.4455 0.0000 8.6810
Ce Pr Th Te
2 1 3 6
direct
0.1676 0.1676 0.3324
0.8324 0.8324 0.6676
0.5000 0.5000 0.0000
0.1648 0.1648 0.8284
0.5000 0.5000 0.5000
0.8352 0.8352 0.1716
0.0019 0.0019 0.2513
0.3325 0.3325 0.9174
0.3331 0.3331 0.4210
0.6669 0.6669 0.5790
0.6675 0.6675 0.0826
0.9981 0.9981 0.7487
```